No. 1
Theoretical powder diffraction line list of Li2NpAgF8 for CuKα, from a structure optimized by DFT (GGA-PBE).

Cell and atoms:
a = 5.4772 Å, b = 5.4772 Å, c = 7.4696 Å
α = 90.00°, β = 90.00°, γ = 120.00°
Positions (direct):
Li: 0.3333 0.6667 0.1634
Li: 0.6667 0.3333 0.8366
Np: 0.0000 0.0000 0.5000
Ag: 0.0000 0.0000 0.0000
F: 0.1696 0.3392 0.3255
F: 0.1696 0.8304 0.3255
F: 0.3333 0.6667 0.9295
F: 0.3392 0.1696 0.6745
F: 0.6609 0.8304 0.3255
F: 0.6667 0.3333 0.0705
F: 0.8304 0.1696 0.6745
F: 0.8304 0.6609 0.6745

The 6 most intense peaks (10 to 90 degrees two-theta), by angle:
Position (°2θ)  Rel. int.
18.71  100.0
22.20  26.2
30.46  58.2
32.70  28.5
40.87  39.8
45.29  25.5

=====

No. 2
Theoretical powder diffraction line list of Li2PaAgF8 for CuKα, from a structure optimized by DFT (GGA-PBE).

Cell and atoms:
a = 5.5380 Å, b = 5.5380 Å, c = 7.4718 Å
α = 90.00°, β = 90.00°, γ = 120.00°
Positions (direct):
Li: 0.3333 0.6667 0.1622
Li: 0.6667 0.3333 0.8378
Pa: 0.0000 0.0000 0.5000
Ag: 0.0000 0.0000 0.0000
F: 0.1704 0.3409 0.3225
F: 0.1704 0.8296 0.3225
F: 0.3333 0.6667 0.9284
F: 0.3409 0.1704 0.6775
F: 0.6591 0.8296 0.3225
F: 0.6667 0.3333 0.0716
F: 0.8296 0.1704 0.6775
F: 0.8296 0.6591 0.6775

The 6 most intense peaks (10 to 90 degrees two-theta), by angle:
Position (°2θ)  Rel. int.
18.50  100.0
22.02  25.0
30.33  57.6
32.33  28.8
40.55  37.1
44.92  25.9

=====

No. 3
Theoretical powder diffraction line list of Li4Ag3PbF12 for CuKα, from a structure optimized by DFT (GGA-PBE).

Cell and atoms:
a = 6.7756 Å, b = 6.7756 Å, c = 6.7756 Å
α = 109.47°, β = 109.47°, γ = 109.47°
Positions (direct):
Li: 0.0000 0.0000 0.5000
Li: 0.0000 0.5000 0.0000
Li: 0.5000 0.0000 0.0000
Li: 0.5000 0.5000 0.5000
Ag: 0.0000 0.5000 0.5000
Ag: 0.5000 0.0000 0.5000
Ag: 0.5000 0.5000 0.0000
Pb: 0.0000 0.0000 0.0000
F: 0.1137 0.8166 0.2971
F: 0.1834 0.2971 0.4805
F: 0.1834 0.7029 0.8863
F: 0.2971 0.1137 0.8166
F: 0.2971 0.4805 0.1834
F: 0.4805 0.1834 0.2971
F: 0.5195 0.8166 0.7029
F: 0.7029 0.5195 0.8166
F: 0.7029 0.8863 0.1834
F: 0.8166 0.2971 0.1137
F: 0.8166 0.7029 0.5195
F: 0.8863 0.1834 0.7029

The 6 most intense peaks (10 to 90 degrees two-theta), by angle:
Position (°2θ)  Rel. int.
22.73  100.0
32.37  85.1
39.92  56.9
46.42  28.0
52.29  40.6
57.73  46.4

=====

No. 4
Theoretical powder diffraction line list of LiScAgF6 for CuKα, from a structure optimized by DFT (GGA-PBE).

Cell and atoms:
a = 5.3386 Å, b = 5.3386 Å, c = 9.5359 Å
α = 90.00°, β = 90.00°, γ = 120.00°
Positions (direct):
Li: 0.3333 0.6667 0.2500
Li: 0.6667 0.3333 0.7500
Sc: 0.3333 0.6667 0.7500
Sc: 0.6667 0.3333 0.2500
Ag: 0.0000 0.0000 0.0000
Ag: 0.0000 0.0000 0.5000
F: 0.0027 0.3517 0.6362
F: 0.0027 0.6511 0.8638
F: 0.3489 0.3517 0.8638
F: 0.3489 0.9973 0.6362
F: 0.3517 0.0027 0.1362
F: 0.3517 0.3489 0.3638
F: 0.6483 0.6511 0.6362
F: 0.6483 0.9973 0.8638
F: 0.6511 0.0027 0.3638
F: 0.6511 0.6483 0.1362
F: 0.9973 0.3489 0.1362
F: 0.9973 0.6483 0.3638

The 6 most intense peaks (10 to 90 degrees two-theta), by angle:
Position (°2θ)  Rel. int.
19.20  36.4
26.86  100.0
38.66  28.7
43.51  24.9
51.39  37.5
56.05  23.4

=====

No. 5
Theoretical powder diffraction line list of Li2AgSnF8 for CuKα, from a structure optimized by DFT (GGA-PBE).

Cell and atoms:
a = 4.7699 Å, b = 4.7699 Å, c = 6.8647 Å
α = 90.00°, β = 90.00°, γ = 90.87°
Positions (direct):
Li: 0.0000 0.0000 0.2360
Li: 0.0000 0.0000 0.7640
Ag: 0.5000 0.5000 0.0000
Sn: 0.5000 0.5000 0.5000
F: 0.1912 0.1912 0.0000
F: 0.2038 0.2038 0.5000
F: 0.2975 0.7025 0.2845
F: 0.2975 0.7025 0.7155
F: 0.7025 0.2975 0.2845
F: 0.7025 0.2975 0.7155
F: 0.7962 0.7962 0.5000
F: 0.8088 0.8088 0.0000

The 6 most intense peaks (10 to 90 degrees two-theta), by angle:
Position (°2θ)  Rel. int.
18.60  100.0
25.96  24.9
26.22  30.4
26.63  30.0
32.13  41.6
37.23  47.1

=====

No. 6
Theoretical powder diffraction line list of LiTlAgF4 for CuKα, from a structure optimized by DFT (GGA-PBE).

Cell and atoms:
a = 6.7762 Å, b = 6.7762 Å, c = 6.7762 Å
α = 123.70°, β = 116.32°, γ = 90.10°
Positions (direct):
Li: 0.3914 0.1414 0.2500
Li: 0.6086 0.8586 0.7500
Tl: 0.0000 0.5000 0.5000
Tl: 0.5000 0.5000 0.0000
Ag: 0.0000 0.0000 0.5000
Ag: 0.0000 0.5000 0.0000
F: 0.2656 0.2606 0.4951
F: 0.2656 0.7705 0.0049
F: 0.2678 0.7490 0.5188
F: 0.2698 0.2510 0.0188
F: 0.7302 0.7490 0.9812
F: 0.7322 0.2510 0.4812
F: 0.7344 0.2295 0.9951
F: 0.7344 0.7394 0.5049

The 6 most intense peaks (10 to 90 degrees two-theta), by angle:
Position (°2θ)  Rel. int.
15.47  31.8
16.67  100.0
30.12  53.6
31.27  56.0
37.75  52.2
54.32  35.9